1.
This entry pairs a crystal structure of Y2MnSe2O2 with its computed PXRD pattern. Radiation: Cu Ka. Structure: a crystal structure in Alexandria, relaxed with PBE+U.
Neutral-atom scattering factors, no anomalous dispersion.

Atomic structure:
a = 6.069 Å, b = 6.069 Å, c = 7.018 Å
α = 120.31°, β = 120.31°, γ = 36.47°
Sites, in units of the cell vectors:
Y1 0.191 0.191 0.250
Y2 0.809 0.809 0.750
Mn1 0.000 0.000 0.500
Se1 0.433 0.433 0.165
Se2 0.567 0.567 0.835
O1 0.202 0.202 0.584
O2 0.798 0.798 0.416

The 8 most intense peaks (2θ from 10° to 80°), sorted by position:
| d_spacing | 2θ (°) | intensity |
| --- | --- | --- |
| 2.854 | 31.35 | 61 |
| 2.813 | 31.81 | 100 |
| 2.472 | 36.34 | 19 |
| 2.447 | 36.73 | 67 |
| 2.314 | 38.92 | 22 |
| 1.899 | 47.90 | 23 |
| 1.737 | 52.69 | 22 |
| 1.581 | 58.37 | 20 |



2.
This entry pairs a crystal structure of Mn2Si2O7 with its computed PXRD pattern. Radiation: Cu Ka. Structure: a crystal structure in Alexandria, relaxed with PBE+U.
Neutral-atom scattering factors, no anomalous dispersion.

Atomic structure:
a = 4.955 Å, b = 4.955 Å, c = 12.506 Å
α = 90.00°, β = 90.00°, γ = 114.97°
Sites, in units of the cell vectors:
Mn1 0.000 0.000 0.000
Mn2 0.000 0.000 0.500
Mn3 0.032 0.968 0.750
Mn4 0.968 0.032 0.250
Si1 0.338 0.662 0.133
Si2 0.338 0.662 0.367
Si3 0.662 0.338 0.633
Si4 0.662 0.338 0.867
O1 0.197 0.294 0.135
O2 0.197 0.294 0.365
O3 0.216 0.784 0.035
O4 0.216 0.784 0.465
O5 0.238 0.762 0.250
O6 0.294 0.197 0.635
O7 0.294 0.197 0.865
O8 0.706 0.803 0.135
O9 0.706 0.803 0.365
O10 0.762 0.238 0.750
O11 0.784 0.216 0.535
O12 0.784 0.216 0.965
O13 0.803 0.706 0.635
O14 0.803 0.706 0.865

The 8 most intense peaks (2θ from 10° to 80°), sorted by position:
| d_spacing | 2θ (°) | intensity |
| --- | --- | --- |
| 4.492 | 19.77 | 88 |
| 4.227 | 21.02 | 49 |
| 4.178 | 21.27 | 36 |
| 3.963 | 22.44 | 57 |
| 2.663 | 33.65 | 31 |
| 2.566 | 34.97 | 100 |
| 2.468 | 36.40 | 40 |
| 1.824 | 50.00 | 35 |



3.
This entry pairs a crystal structure of Mn4Si5O15 with its computed PXRD pattern. Radiation: Cu Ka. Structure: a crystal structure in Alexandria, relaxed with PBE+U.
Neutral-atom scattering factors, no anomalous dispersion.

Atomic structure:
a = 6.710 Å, b = 7.452 Å, c = 12.115 Å
α = 106.45°, β = 94.92°, γ = 93.98°
Sites, in units of the cell vectors:
Mn1 0.034 0.108 0.162
Mn2 0.124 0.323 0.449
Mn3 0.190 0.498 0.735
Mn4 0.252 0.741 0.033
Mn5 0.748 0.259 0.967
Mn6 0.810 0.502 0.265
Mn7 0.876 0.677 0.551
Mn8 0.966 0.892 0.838
Si1 0.165 0.063 0.650
Si2 0.223 0.274 0.919
Si3 0.293 0.541 0.256
Si4 0.380 0.727 0.520
Si5 0.484 0.201 0.122
Si6 0.516 0.799 0.878
Si7 0.620 0.273 0.480
Si8 0.707 0.459 0.744
Si9 0.777 0.726 0.081
Si10 0.835 0.937 0.350
O1 0.027 0.082 0.341
O2 0.037 0.173 0.964
O3 0.097 0.401 0.265
O4 0.115 0.242 0.605
O5 0.183 0.593 0.547
O6 0.204 0.487 0.914
O7 0.251 0.647 0.159
O8 0.260 0.154 0.787
O9 0.275 0.823 0.888
O10 0.329 0.942 0.579
O11 0.332 0.033 0.133
O12 0.368 0.693 0.380
O13 0.402 0.309 0.429
O14 0.429 0.258 0.000
O15 0.483 0.404 0.225
O16 0.517 0.596 0.775
O17 0.571 0.742 0.000
O18 0.598 0.691 0.571
O19 0.632 0.307 0.620
O20 0.668 0.967 0.867
O21 0.671 0.058 0.421
O22 0.725 0.177 0.112
O23 0.740 0.846 0.213
O24 0.749 0.353 0.841
O25 0.796 0.513 0.086
O26 0.817 0.407 0.453
O27 0.885 0.758 0.395
O28 0.903 0.599 0.735
O29 0.963 0.827 0.036
O30 0.973 0.918 0.659

The 8 most intense peaks (2θ from 10° to 80°), sorted by position:
| d_spacing | 2θ (°) | intensity |
| --- | --- | --- |
| 7.039 | 12.58 | 36 |
| 6.653 | 13.31 | 28 |
| 4.090 | 21.73 | 38 |
| 3.134 | 28.48 | 54 |
| 2.996 | 29.82 | 100 |
| 2.974 | 30.05 | 64 |
| 2.698 | 33.21 | 84 |
| 1.672 | 54.90 | 29 |



4.
This entry pairs a crystal structure of Sm2Mn2O7 with its computed PXRD pattern. Radiation: Cu Ka. Structure: a crystal structure in Alexandria, relaxed with PBE+U.
Neutral-atom scattering factors, no anomalous dispersion.

Atomic structure:
a = 7.210 Å, b = 7.210 Å, c = 7.210 Å
α = 60.00°, β = 60.00°, γ = 60.00°
Sites, in units of the cell vectors:
Sm1 0.000 0.000 0.000
Sm2 0.000 0.000 0.500
Sm3 0.000 0.500 0.000
Sm4 0.500 0.000 0.000
Mn1 0.000 0.500 0.500
Mn2 0.500 0.000 0.500
Mn3 0.500 0.500 0.000
Mn4 0.500 0.500 0.500
O1 0.125 0.125 0.125
O2 0.172 0.172 0.578
O3 0.172 0.578 0.172
O4 0.172 0.578 0.578
O5 0.422 0.422 0.828
O6 0.422 0.828 0.422
O7 0.422 0.828 0.828
O8 0.578 0.172 0.172
O9 0.578 0.172 0.578
O10 0.578 0.578 0.172
O11 0.828 0.422 0.422
O12 0.828 0.422 0.828
O13 0.828 0.828 0.422
O14 0.875 0.875 0.875

The 8 most intense peaks (2θ from 10° to 80°), sorted by position:
| d_spacing | 2θ (°) | intensity |
| --- | --- | --- |
| 5.887 | 15.05 | 21 |
| 3.075 | 29.04 | 11 |
| 2.944 | 30.36 | 100 |
| 2.549 | 35.20 | 30 |
| 2.339 | 38.48 | 17 |
| 1.803 | 50.64 | 47 |
| 1.537 | 60.20 | 41 |
| 1.472 | 63.17 | 10 |